Entry 1:
# Mg6BiCO8
Simulated XRD peak list, CuKα. Input: the PBE geometry in the Materials Project.
Neutral-atom scattering factors, no anomalous dispersion.

a b c (Å): 4.470 4.470 8.781
angles (deg): 90.00 90.00 90.00
Fractional positions:
Mg 0.000 0.000 0.000
Mg 0.000 0.500 0.241
Mg 0.000 0.500 0.759
Mg 0.500 0.000 0.241
Mg 0.500 0.000 0.759
Mg 0.500 0.500 0.000
Bi 0.000 0.000 0.500
C 0.500 0.500 0.500
O 0.000 0.000 0.231
O 0.000 0.000 0.769
O 0.000 0.500 0.000
O 0.000 0.500 0.500
O 0.500 0.000 0.000
O 0.500 0.000 0.500
O 0.500 0.500 0.237
O 0.500 0.500 0.763

Most intense lines, 2θ = 10–80°, in order of rising 2θ:
Position (°2θ)  I (rel.)
10.07  85.6
19.86  66.2
22.32  100.0
28.50  57.2
30.05  35.6
34.98  50.7
36.70  31.2
40.36  74.3
41.12  33.9
46.60  31.2
50.14  25.8
58.98  42.9


Entry 2:
# ErAgS2
Simulated XRD peak list, CuKα. Input: the PBE geometry in the Materials Project.
Neutral-atom scattering factors, no anomalous dispersion.

a b c (Å): 7.159 7.159 7.159
angles (deg): 135.81 135.81 64.27
Fractional positions:
Er 0.375 0.625 0.750
Er 0.625 0.375 0.250
Ag 0.125 0.875 0.250
Ag 0.875 0.125 0.750
S 0.150 0.400 0.750
S 0.400 0.150 0.250
S 0.600 0.850 0.750
S 0.850 0.600 0.250

Most intense lines, 2θ = 10–80°, in order of rising 2θ:
Position (°2θ)  I (rel.)
27.66  100.0
29.47  51.8
33.27  80.8
45.03  62.8
47.77  28.3
51.18  23.3
56.09  29.0
57.13  30.4
71.42  12.6
72.60  16.2
77.59  12.3
79.61  12.4


Entry 3:
# Mg3B7BrO13
Simulated XRD peak list, CuKα. Input: the PBE geometry in the Materials Project.
Neutral-atom scattering factors, no anomalous dispersion.

a b c (Å): 8.622 8.622 8.622
angles (deg): 60.00 60.00 60.00
Fractional positions:
Mg 0.250 0.250 0.750
Mg 0.250 0.750 0.250
Mg 0.250 0.750 0.750
Mg 0.750 0.250 0.250
Mg 0.750 0.250 0.750
Mg 0.750 0.750 0.250
B 0.000 0.000 0.500
B 0.000 0.500 0.000
B 0.000 0.500 0.500
B 0.170 0.170 0.170
B 0.170 0.170 0.491
B 0.170 0.491 0.170
B 0.491 0.170 0.170
B 0.500 0.000 0.000
B 0.500 0.000 0.500
B 0.500 0.500 0.000
B 0.670 0.670 0.670
B 0.670 0.670 0.991
B 0.670 0.991 0.670
B 0.991 0.670 0.670
Br 0.000 0.000 0.000
Br 0.500 0.500 0.500
O 0.049 0.492 0.813
O 0.049 0.646 0.492
O 0.049 0.813 0.646
O 0.146 0.313 0.549
O 0.146 0.549 0.992
O 0.146 0.992 0.313
O 0.250 0.250 0.250
O 0.313 0.146 0.992
O 0.313 0.549 0.146
O 0.313 0.992 0.549
O 0.492 0.049 0.646
O 0.492 0.646 0.813
O 0.492 0.813 0.049
O 0.549 0.146 0.313
O 0.549 0.313 0.992
O 0.549 0.992 0.146
O 0.646 0.049 0.813
O 0.646 0.492 0.049
O 0.646 0.813 0.492
O 0.750 0.750 0.750
O 0.813 0.049 0.492
O 0.813 0.492 0.646
O 0.813 0.646 0.049
O 0.992 0.146 0.549
O 0.992 0.313 0.146
O 0.992 0.549 0.313

Most intense lines, 2θ = 10–80°, in order of rising 2θ:
Position (°2θ)  I (rel.)
25.30  33.4
29.30  86.5
32.85  100.0
36.09  41.9
41.91  48.3
43.93  49.3
51.96  30.3
54.25  20.6
56.48  22.4
62.85  33.0
68.87  29.1
76.56  29.6


Entry 4:
# NaCd3
Simulated XRD peak list, CuKα. Input: the PBE geometry in the Materials Project.
Neutral-atom scattering factors, no anomalous dispersion.

a b c (Å): 6.478 6.478 5.263
angles (deg): 90.00 90.00 120.00
Fractional positions:
Na 0.333 0.667 0.250
Na 0.667 0.333 0.750
Cd 0.165 0.331 0.750
Cd 0.165 0.835 0.750
Cd 0.331 0.165 0.250
Cd 0.669 0.835 0.750
Cd 0.835 0.165 0.250
Cd 0.835 0.669 0.250

Most intense lines, 2θ = 10–80°, in order of rising 2θ:
Position (°2θ)  I (rel.)
15.80  8.8
23.17  18.3
27.54  8.3
31.90  23.7
34.07  26.5
36.29  100.0
46.15  6.5
47.37  15.2
56.85  17.2
62.44  19.1
67.97  19.5
69.34  13.8